Diffraction record for Ca2Cd9Ag6. The powder XRD pattern is simulated, not measured: it uses a crystal structure in Alexandria, relaxed with PBE and copper Kα.
Kinematic intensities with the Lorentz-polarization factor, no thermal factor.

Most intense lines, 10° ≤ 2θ ≤ 90°, most intense first:
| 2theta | d (Å) | intensity | hkl |
| --- | --- | --- | --- |
| 36.21 | 2.481 | 100 | 1 1 3 |
| 40.54 | 2.225 | 99 | 2 0 3 |
| 17.62 | 5.033 | 88 | 1 0 0 |
| 37.76 | 2.382 | 39 | 0 0 6 |
| 76.86 | 1.240 | 27 | 2 2 6 |
| 35.68 | 2.516 | 26 | 2 0 0 |
| 58.31 | 1.582 | 23 | 3 0 3 |
| 64.10 | 1.453 | 23 | 2 2 0 |
| 41.96 | 2.153 | 19 | 1 0 6 |
| 70.06 | 1.343 | 18 | 2 0 9 |

a = 5.8111 Å, b = 5.8111 Å, c = 14.2946 Å
α = 90.00°, β = 90.00°, γ = 120.00°
Fractional positions:
Ca 0.0000 0.0000 0.1649
Ca 0.0000 0.0000 0.8351
Cd 0.0000 0.5000 0.0000
Cd 0.0000 0.5000 0.3357
Cd 0.0000 0.5000 0.6643
Cd 0.5000 0.0000 0.0000
Cd 0.5000 0.0000 0.3357
Cd 0.5000 0.0000 0.6643
Cd 0.5000 0.5000 0.0000
Cd 0.5000 0.5000 0.3357
Cd 0.5000 0.5000 0.6643
Ag 0.3333 0.6667 0.1683
Ag 0.3333 0.6667 0.5000
Ag 0.3333 0.6667 0.8317
Ag 0.6667 0.3333 0.1683
Ag 0.6667 0.3333 0.5000
Ag 0.6667 0.3333 0.8317

***

Diffraction record for Li5Cu2Ge2. The powder XRD pattern is simulated, not measured: it uses a crystal structure in Alexandria, relaxed with PBE and copper Kα.
Kinematic intensities with the Lorentz-polarization factor, no thermal factor.

Most intense lines, 10° ≤ 2θ ≤ 90°, most intense first:
| 2theta | d (Å) | intensity | hkl |
| --- | --- | --- | --- |
| 26.70 | 3.339 | 100 | 0 1 1 |
| 21.93 | 4.052 | 95 | 0 0 2 |
| 42.74 | 2.116 | 82 | 1 1 0 |
| 41.53 | 2.175 | 75 | 0 1 3 |
| 48.54 | 1.876 | 66 | 1 1 2 |
| 61.11 | 1.516 | 23 | 2 0 3 |
| 77.43 | 1.233 | 22 | 1 2 3 |
| 62.67 | 1.482 | 19 | 0 1 5 |
| 51.11 | 1.787 | 16 | 2 0 1 |
| 82.47 | 1.170 | 13 | 3 0 2 |

a = 4.2317 Å, b = 4.2317 Å, c = 8.1048 Å
α = 90.00°, β = 90.00°, γ = 120.00°
Fractional positions:
Li 0.0000 0.0000 0.0000
Li 0.3333 0.6667 0.1138
Li 0.3333 0.6667 0.4315
Li 0.6667 0.3333 0.5685
Li 0.6667 0.3333 0.8862
Cu 0.0000 0.0000 0.3062
Cu 0.0000 0.0000 0.6938
Ge 0.3333 0.6667 0.7590
Ge 0.6667 0.3333 0.2410